Structure and computed X-ray diffraction stick pattern of BaCo2P2H2O9 (a GGA+U-relaxed structure; Cu Ka).

Atomic structure:
```
data_BaCo2P2H2O9
_cell_length_a 9.3033
_cell_length_b 4.9606
_cell_length_c 8.4500
_cell_angle_alpha 90.00
_cell_angle_beta 91.80
_cell_angle_gamma 90.00
_space_group_name_H-M_alt 'C 1 2 1'
_space_group_IT_number 5
_space_group_name_Hall 'C 2y'
loop_
_atom_site_label
_atom_site_type_symbol
_atom_site_fract_x
_atom_site_fract_y
_atom_site_fract_z
Ba1 Ba 0.0000 0.0000 0.0000
Co1 Co 0.1687 0.4478 0.6465
P1 P 0.1546 0.5138 0.2629
H1 H 0.0589 0.0744 0.4320
O1 O 0.0000 0.1881 0.5000
O2 O 0.0061 0.5677 0.7874
O3 O 0.1775 0.2049 0.2558
O4 O 0.1855 0.6378 0.4322
O5 O 0.2441 0.1711 0.8456
```

Top 10 peaks for 2θ from 10° to 90°, most intense first:
hkl 1 1 2, 2θ = 29.61°, rel. 100
hkl 1 1 -1, 2θ = 22.74°, rel. 76
hkl 3 1 0, 2θ = 34.11°, rel. 68
hkl 1 1 1, 2θ = 23.02°, rel. 43
hkl 2 0 -2, 2θ = 28.10°, rel. 38
hkl 2 0 -1, 2θ = 21.53°, rel. 38
hkl 3 1 -3, 2θ = 46.65°, rel. 29
hkl 2 0 1, 2θ = 22.11°, rel. 27
hkl 2 2 1, 2θ = 42.84°, rel. 26
hkl 0 2 0, 2θ = 36.22°, rel. 21